Structure and computed powder X-ray diffraction pattern of ErIn2Rh (DFT lattice parameters and positions (GGA-PBE); a wavelength of 1.5418 Å).
Lines closer than 0.1° are merged.

Main lines, by angle (10 to 90 degrees two-theta):
3.980 Å, I = 3, hkl 1 1 1
3.447 Å, I = 1, hkl 2 0 0
2.437 Å, I = 100, hkl 2 2 0
2.079 Å, I = 2, hkl 3 1 1
1.723 Å, I = 17, hkl 4 0 0
1.582 Å, I = 1, hkl 3 3 1
1.407 Å, I = 35, hkl 4 2 2
1.327 Å, I = 1, hkl 5 1 1
1.219 Å, I = 11, hkl 4 4 0
1.165 Å, I = 1, hkl 5 3 1

Structure:
```
data_ErIn2Rh
_chemical_formula_sum 'Er4 In8 Rh4'
_space_group_name_H-M_alt 'F m -3 m'
_space_group_IT_number 225
_space_group_name_Hall '-F 4 2 3'
_cell_length_a 6.8938
_cell_length_b 6.8938
_cell_length_c 6.8938
_cell_angle_alpha 90.00
_cell_angle_beta 90.00
_cell_angle_gamma 90.00
loop_
_atom_site_label
_atom_site_fract_x
_atom_site_fract_y
_atom_site_fract_z
_atom_site_occupancy
Er1 0.0000 0.0000 0.0000 1
In1 0.2500 0.2500 0.2500 1
Rh1 0.0000 0.0000 0.5000 1
```